Simulated PXRD pattern of Sr3ScCd4 for λ = 1.5418 Å (Cu Kα), from a structure optimized by DFT (GGA-PBE).
No peak broadening, texture or thermal motion is included.

Largest 12 diffraction maxima, in order of falling intensity, 5 to 70 degrees two-theta:
| Position (°2θ) | d (Å) | Rel. int. |
| --- | --- | --- |
| 32.13 | 2.786 | 100 |
| 32.76 | 2.734 | 59 |
| 58.08 | 1.588 | 35 |
| 47.01 | 1.933 | 21 |
| 68.67 | 1.367 | 16 |
| 28.47 | 3.135 | 15 |
| 52.01 | 1.758 | 12 |
| 56.87 | 1.619 | 9 |
| 39.24 | 2.296 | 7 |
| 62.84 | 1.479 | 7 |
| 67.20 | 1.393 | 6 |
| 23.00 | 3.866 | 5 |

Crystal structure
```
Sr3ScCd4
1.0
3.8662 0.0000 0.0000
0.0000 3.8662 0.0000
0.0000 0.0000 16.0730
Sr Sc Cd
3 1 4
Direct
0.0000 0.0000 0.0000
0.0000 0.0000 0.2662
0.0000 0.0000 0.7338
0.0000 0.0000 0.5000
0.5000 0.5000 0.1329
0.5000 0.5000 0.4040
0.5000 0.5000 0.5960
0.5000 0.5000 0.8671
```

---

Simulated PXRD pattern of LiAlInAg for λ = 1.5418 Å (Cu Kα), from a structure optimized by DFT (GGA-PBE).
No peak broadening, texture or thermal motion is included.

Largest 12 diffraction maxima, in order of falling intensity, 5 to 70 degrees two-theta:
| Position (°2θ) | d (Å) | Rel. int. |
| --- | --- | --- |
| 37.52 | 2.397 | 100 |
| 28.66 | 3.115 | 59 |
| 23.70 | 3.754 | 47 |
| 40.97 | 2.203 | 39 |
| 47.88 | 1.900 | 28 |
| 65.31 | 1.429 | 19 |
| 57.30 | 1.608 | 16 |
| 59.33 | 1.558 | 12 |
| 48.49 | 1.877 | 12 |
| 64.81 | 1.439 | 11 |
| 67.20 | 1.393 | 10 |
| 23.41 | 3.800 | 3 |

Crystal structure
```
LiAlInAg
1.0
4.4053 0.0000 0.0000
0.0000 4.4053 0.0000
0.0000 0.0000 7.5089
Li Al In Ag
2 2 2 2
Direct
0.0000 0.0000 0.0000
0.5000 0.5000 0.5000
0.0000 0.0000 0.5000
0.5000 0.5000 0.0000
0.0000 0.5000 0.7500
0.5000 0.0000 0.2500
0.0000 0.5000 0.2500
0.5000 0.0000 0.7500
```

---

Simulated PXRD pattern of La14PuCd for λ = 1.5418 Å (Cu Kα), from a structure optimized by DFT (GGA-PBE).
No peak broadening, texture or thermal motion is included.

Largest 12 diffraction maxima, in order of falling intensity, 5 to 70 degrees two-theta:
| Position (°2θ) | d (Å) | Rel. int. |
| --- | --- | --- |
| 29.92 | 2.987 | 100 |
| 34.68 | 2.587 | 50 |
| 49.86 | 1.829 | 35 |
| 59.22 | 1.560 | 26 |
| 59.29 | 1.559 | 14 |
| 62.16 | 1.493 | 11 |
| 28.61 | 3.120 | 3 |
| 52.30 | 1.749 | 2 |
| 8.53 | 10.360 | 2 |
| 14.83 | 5.974 | 1 |
| 35.78 | 2.510 | 1 |
| 37.91 | 2.373 | 1 |

Crystal structure
```
La14PuCd
1.0
10.3604 0.0000 0.0000
0.0000 5.1714 5.1682
0.0000 -5.1714 5.1682
La Pu Cd
14 1 1
Direct
0.0000 0.0000 0.0000
0.0000 0.0095 0.4892
0.0000 0.4892 0.0095
0.0000 0.4934 0.4934
0.2463 0.7498 0.7498
0.2618 0.2485 0.7488
0.2618 0.7488 0.2485
0.2750 0.2482 0.2482
0.5000 0.5167 0.9807
0.5000 0.9807 0.5167
0.7250 0.2482 0.2482
0.7382 0.2485 0.7488
0.7382 0.7488 0.2485
0.7537 0.7498 0.7498
0.5000 0.4989 0.4989
0.5000 0.9977 0.9977
```

---

Simulated PXRD pattern of BaPaTe2 for λ = 1.5418 Å (Cu Kα), from a structure optimized by DFT (GGA-PBE).
No peak broadening, texture or thermal motion is included.

Largest 12 diffraction maxima, in order of falling intensity, 5 to 70 degrees two-theta:
| Position (°2θ) | d (Å) | Rel. int. |
| --- | --- | --- |
| 27.23 | 3.275 | 100 |
| 37.35 | 2.407 | 40 |
| 40.38 | 2.233 | 36 |
| 49.39 | 1.845 | 20 |
| 61.38 | 1.510 | 17 |
| 65.63 | 1.422 | 17 |
| 10.79 | 8.202 | 14 |
| 56.18 | 1.637 | 12 |
| 44.17 | 2.050 | 7 |
| 65.30 | 1.429 | 6 |
| 34.48 | 2.601 | 6 |
| 24.12 | 3.690 | 4 |

Crystal structure
```
BaPaTe2
1.0
4.4669 0.0000 0.0000
-2.2334 3.8684 0.0000
0.0000 0.0000 24.6049
Ba Pa Te
3 3 6
Direct
0.0000 0.0000 0.0000
0.3333 0.6667 0.6667
0.6667 0.3333 0.3333
0.0000 0.0000 0.5000
0.3333 0.6667 0.1667
0.6667 0.3333 0.8333
0.0000 0.0000 0.2404
0.0000 0.0000 0.7596
0.3333 0.6667 0.4263
0.3333 0.6667 0.9070
0.6667 0.3333 0.0930
0.6667 0.3333 0.5737
```

---

Simulated PXRD pattern of Pm11Tl4Hg9 for λ = 1.5418 Å (Cu Kα), from a structure optimized by DFT (GGA-PBE).
No peak broadening, texture or thermal motion is included.

Largest 12 diffraction maxima, in order of falling intensity, 5 to 70 degrees two-theta:
| Position (°2θ) | d (Å) | Rel. int. |
| --- | --- | --- |
| 32.27 | 2.774 | 100 |
| 32.81 | 2.729 | 95 |
| 34.41 | 2.606 | 81 |
| 59.96 | 1.543 | 58 |
| 31.99 | 2.798 | 29 |
| 48.68 | 1.870 | 24 |
| 34.02 | 2.636 | 23 |
| 59.75 | 1.548 | 22 |
| 36.49 | 2.462 | 18 |
| 33.04 | 2.711 | 16 |
| 43.78 | 2.068 | 16 |
| 56.84 | 1.620 | 15 |

Crystal structure
```
Pm11Tl4Hg9
1.0
8.2714 -10.8986 0.0000
8.2714 10.8986 0.0000
0.0000 0.0000 3.7408
Pm Tl Hg
11 4 9
Direct
0.0000 0.0000 0.0000
0.0621 0.4049 0.0000
0.1836 0.8164 0.0000
0.2244 0.2244 0.0000
0.3605 0.6395 0.0000
0.4049 0.0621 0.0000
0.5951 0.9379 0.0000
0.6395 0.3605 0.0000
0.7756 0.7756 0.0000
0.8164 0.1836 0.0000
0.9379 0.5951 0.0000
0.2689 0.4306 0.5000
0.4306 0.2689 0.5000
0.5694 0.7311 0.5000
0.7311 0.5694 0.5000
0.0163 0.1988 0.5000
0.1480 0.6127 0.5000
0.1988 0.0163 0.5000
0.3873 0.8520 0.5000
0.5000 0.5000 0.5000
0.6127 0.1480 0.5000
0.8012 0.9837 0.5000
0.8520 0.3873 0.5000
0.9837 0.8012 0.5000
```

---

Simulated PXRD pattern of Ce4Cu5P7 for λ = 1.5418 Å (Cu Kα), from a structure optimized by DFT (GGA-PBE).
No peak broadening, texture or thermal motion is included.

Largest 12 diffraction maxima, in order of falling intensity, 5 to 70 degrees two-theta:
| Position (°2θ) | d (Å) | Rel. int. |
| --- | --- | --- |
| 38.13 | 2.360 | 100 |
| 25.04 | 3.556 | 59 |
| 36.45 | 2.465 | 33 |
| 47.56 | 1.912 | 31 |
| 37.18 | 2.418 | 18 |
| 61.87 | 1.500 | 15 |
| 61.37 | 1.511 | 14 |
| 54.50 | 1.684 | 14 |
| 29.79 | 2.999 | 13 |
| 53.06 | 1.726 | 12 |
| 69.54 | 1.352 | 10 |
| 67.67 | 1.385 | 9 |

Crystal structure
```
Ce4Cu5P7
1.0
-2.7037 2.7037 9.6719
2.7037 -2.7037 9.6719
2.7037 2.7037 -9.6719
Ce Cu P
4 5 7
Direct
0.1419 0.1419 0.5130
0.3711 0.8581 0.0000
0.6289 0.6289 0.4870
0.8581 0.3711 0.0000
0.0000 0.0000 0.0000
0.2501 0.2501 0.0000
0.2500 0.7500 0.5000
0.7500 0.2500 0.5000
0.7499 0.7499 0.0000
0.0000 0.5000 0.5000
0.0733 0.5782 0.0000
0.4218 0.4218 0.4951
0.5000 0.0000 0.5000
0.5000 0.5000 0.0000
0.5782 0.0733 0.0000
0.9267 0.9267 0.5049
```

---

Simulated PXRD pattern of Rb2BeZnP2 for λ = 1.5418 Å (Cu Kα), from a structure optimized by DFT (GGA-PBE).
No peak broadening, texture or thermal motion is included.

Largest 12 diffraction maxima, in order of falling intensity, 5 to 70 degrees two-theta:
| Position (°2θ) | d (Å) | Rel. int. |
| --- | --- | --- |
| 28.46 | 3.136 | 100 |
| 23.69 | 3.756 | 95 |
| 8.96 | 9.874 | 94 |
| 36.24 | 2.479 | 57 |
| 36.13 | 2.486 | 56 |
| 35.10 | 2.557 | 56 |
| 44.63 | 2.031 | 56 |
| 56.56 | 1.627 | 46 |
| 42.87 | 2.109 | 36 |
| 27.09 | 3.291 | 30 |
| 16.04 | 5.525 | 30 |
| 31.21 | 2.866 | 20 |

Crystal structure
```
Rb2BeZnP2
1.0
-2.8772 9.8738 2.8661
2.8772 -9.8738 2.8661
2.8772 9.8738 -2.8661
Rb Be Zn P
4 2 2 4
Direct
0.1474 0.2399 0.3873
0.3526 0.7399 0.0925
0.6474 0.2601 0.9075
0.8526 0.7601 0.6127
0.2500 0.7500 0.5000
0.7500 0.2500 0.5000
0.2500 0.2500 0.0000
0.7500 0.7500 0.0000
0.0650 0.7244 0.7894
0.4350 0.2244 0.6594
0.5650 0.7756 0.3406
0.9350 0.2756 0.2106
```

---

Simulated PXRD pattern of TbHo12Tm2 for λ = 1.5418 Å (Cu Kα), from a structure optimized by DFT (GGA-PBE).
No peak broadening, texture or thermal motion is included.

Largest 12 diffraction maxima, in order of falling intensity, 5 to 70 degrees two-theta:
| Position (°2θ) | d (Å) | Rel. int. |
| --- | --- | --- |
| 30.65 | 2.917 | 100 |
| 32.45 | 2.759 | 69 |
| 32.84 | 2.727 | 68 |
| 31.51 | 2.840 | 48 |
| 32.63 | 2.744 | 39 |
| 34.00 | 2.637 | 37 |
| 46.69 | 1.946 | 29 |
| 62.49 | 1.486 | 21 |
| 60.66 | 1.527 | 21 |
| 51.83 | 1.764 | 19 |
| 56.77 | 1.622 | 18 |
| 61.45 | 1.509 | 18 |

Crystal structure
```
TbHo12Tm2
1.0
3.5280 0.0000 0.0000
0.0000 5.5176 0.0000
-1.7582 0.0000 24.0142
Tb Ho Tm
1 12 2
Direct
0.0000 0.0000 0.0000
0.0673 0.0000 0.1380
0.0974 0.5000 0.2017
0.1636 0.5000 0.3298
0.2137 0.0000 0.4244
0.2763 0.5000 0.5553
0.4644 0.5000 0.9258
0.5356 0.5000 0.0742
0.7237 0.5000 0.4447
0.7863 0.0000 0.5756
0.8364 0.5000 0.6702
0.9026 0.5000 0.7983
0.9327 0.0000 0.8620
0.3671 0.0000 0.7287
0.6329 0.0000 0.2713
```

---

Simulated PXRD pattern of MgIn3Pt4 for λ = 1.5418 Å (Cu Kα), from a structure optimized by DFT (GGA-PBE).
No peak broadening, texture or thermal motion is included.

Largest 12 diffraction maxima, in order of falling intensity, 5 to 70 degrees two-theta:
| Position (°2θ) | d (Å) | Rel. int. |
| --- | --- | --- |
| 40.07 | 2.251 | 100 |
| 36.81 | 2.442 | 63 |
| 68.50 | 1.370 | 41 |
| 53.04 | 1.727 | 22 |
| 25.80 | 3.453 | 18 |
| 48.27 | 1.885 | 7 |
| 62.61 | 1.484 | 7 |
| 30.12 | 2.967 | 6 |
| 59.90 | 1.544 | 4 |
| 19.66 | 4.516 | 3 |
| 68.88 | 1.363 | 3 |
| 62.17 | 1.493 | 2 |

Crystal structure
```
MgIn3Pt4
1.0
12.8280 0.0000 0.0000
0.0000 4.8831 0.0000
-1.8525 0.0000 4.5185
Mg In Pt
2 6 8
Direct
0.0000 0.0000 0.0000
0.5000 0.5000 0.0000
0.0000 0.5000 0.5000
0.2463 0.0000 0.2459
0.2537 0.5000 0.7541
0.5000 0.0000 0.5000
0.7463 0.5000 0.2459
0.7537 0.0000 0.7541
0.1242 0.0000 0.6238
0.1242 0.5000 0.1243
0.3758 0.0000 0.8757
0.3758 0.5000 0.3762
0.6242 0.0000 0.1243
0.6242 0.5000 0.6238
0.8758 0.0000 0.3762
0.8758 0.5000 0.8757
```

---

Simulated PXRD pattern of La2B10Mo for λ = 1.5418 Å (Cu Kα), from a structure optimized by DFT (GGA-PBE).
No peak broadening, texture or thermal motion is included.

Largest 12 diffraction maxima, in order of falling intensity, 5 to 70 degrees two-theta:
| Position (°2θ) | d (Å) | Rel. int. |
| --- | --- | --- |
| 30.18 | 2.961 | 100 |
| 21.36 | 4.160 | 66 |
| 37.33 | 2.409 | 57 |
| 37.22 | 2.416 | 50 |
| 27.09 | 3.291 | 32 |
| 43.50 | 2.080 | 31 |
| 48.42 | 1.880 | 27 |
| 42.91 | 2.107 | 20 |
| 27.35 | 3.261 | 19 |
| 26.02 | 3.424 | 17 |
| 62.76 | 1.480 | 15 |
| 56.78 | 1.621 | 15 |

Crystal structure
```
La2B10Mo
1.0
5.8965 0.0000 0.0000
0.0000 11.7425 0.0000
0.0000 0.0000 4.2149
La B Mo
4 20 2
Direct
0.2082 0.1381 0.0000
0.2918 0.6381 0.0000
0.7082 0.3619 0.0000
0.7918 0.8619 0.0000
0.0706 0.3055 0.5000
0.1165 0.9566 0.5000
0.1246 0.8024 0.5000
0.2308 0.3797 0.2019
0.2308 0.3797 0.7981
0.2692 0.8797 0.2019
0.2692 0.8797 0.7981
0.3754 0.3024 0.5000
0.3835 0.4566 0.5000
0.4294 0.8055 0.5000
0.5706 0.1945 0.5000
0.6165 0.5434 0.5000
0.6246 0.6976 0.5000
0.7308 0.1203 0.2019
0.7308 0.1203 0.7981
0.7692 0.6203 0.2019
0.7692 0.6203 0.7981
0.8754 0.1976 0.5000
0.8835 0.0434 0.5000
0.9294 0.6945 0.5000
0.0000 0.5000 0.5000
0.5000 0.0000 0.5000
```